VI3: computed powder diffractogram (CuKα), based on the PBE geometry in the Materials Project.

Principal peaks in the range 10° ≤ 2θ ≤ 90°, most intense first:
two_theta, intensity
38.2, 100.0
26.1, 94.4
31.1, 81.4
19.3, 79.3
25.4, 51.8
25.7, 50.5
38.0, 50.1
25.5, 49.4
31.0, 45.1
19.1, 38.2

a = 10.5682 Å, b = 3.6801 Å, c = 10.6936 Å
α = 90.00°, β = 119.58°, γ = 90.00°
Fractional positions:
V1 0.1679 0.2500 0.3362
V2 0.8321 0.7500 0.6638
I1 0.0610 0.2500 0.7825
I2 0.2787 0.7500 0.2175
I3 0.2808 0.7500 0.5614
I4 0.7192 0.2500 0.4386
I5 0.7213 0.2500 0.7825
I6 0.9390 0.7500 0.2175

---

CsKRb2: computed powder diffractogram (CuKα), based on the PBE geometry in the Materials Project.

Principal peaks in the range 10° ≤ 2θ ≤ 90°, most intense first:
two_theta, intensity
22.1, 100.0
38.7, 44.9
60.9, 23.1
31.4, 20.2
50.7, 20.2
45.0, 14.4
87.3, 13.0
13.5, 12.9
70.1, 11.4
26.0, 8.6

a = 8.0520 Å, b = 8.0520 Å, c = 8.0520 Å
α = 60.00°, β = 60.00°, γ = 60.00°
Fractional positions:
Cs1 0.0000 0.0000 0.0000
K1 0.5000 0.5000 0.5000
Rb1 0.2500 0.2500 0.2500
Rb2 0.7500 0.7500 0.7500

---

SmSi3Ni: computed powder diffractogram (CuKα), based on the PBE geometry in the Materials Project.

Principal peaks in the range 10° ≤ 2θ ≤ 90°, most intense first:
two_theta, intensity
34.2, 100.0
33.8, 44.0
16.7, 27.2
44.7, 26.9
58.0, 25.9
25.7, 21.4
45.2, 20.1
45.6, 19.5
30.8, 18.9
65.4, 16.8

a = 10.7868 Å, b = 10.7868 Å, c = 4.0143 Å
α = 90.00°, β = 90.00°, γ = 158.76°
Fractional positions:
Sm1 0.1685 0.8315 0.0000
Sm2 0.8315 0.1685 0.0000
Si1 0.0556 0.9444 0.5000
Si2 0.2824 0.7176 0.5000
Si3 0.4444 0.5556 0.0000
Si4 0.5556 0.4444 0.0000
Si5 0.7176 0.2824 0.5000
Si6 0.9444 0.0556 0.5000
Ni1 0.3911 0.6089 0.5000
Ni2 0.6089 0.3911 0.5000

---

LiMnN2: computed powder diffractogram (CuKα), based on the PBE geometry in the Materials Project.

Principal peaks in the range 10° ≤ 2θ ≤ 90°, most intense first:
two_theta, intensity
22.2, 100.0
35.1, 72.0
59.9, 19.6
45.8, 15.4
68.8, 15.4
55.8, 13.4
37.7, 12.5
57.1, 10.5
39.5, 9.2
73.8, 6.4

a = 5.2925 Å, b = 5.2925 Å, c = 5.2925 Å
α = 128.95°, β = 128.95°, γ = 75.10°
Fractional positions:
Li1 0.0000 0.0000 0.0000
Li2 0.7500 0.2500 0.5000
Mn1 0.2500 0.7500 0.5000
Mn2 0.5000 0.5000 0.0000
N1 0.1935 0.1250 0.5685
N2 0.3750 0.8065 0.9315
N3 0.5565 0.6250 0.4315
N4 0.8750 0.4435 0.0685

---

PbF3: computed powder diffractogram (CuKα), based on the PBE geometry in the Materials Project.

Principal peaks in the range 10° ≤ 2θ ≤ 90°, most intense first:
two_theta, intensity
25.4, 100.0
23.4, 68.7
42.4, 61.5
46.0, 22.7
52.2, 16.8
55.0, 16.2
33.4, 15.2
68.6, 14.9
47.9, 14.7
65.9, 13.9

a = 5.3713 Å, b = 5.3713 Å, c = 9.2420 Å
α = 90.00°, β = 90.00°, γ = 90.00°
Fractional positions:
Pb1 0.0000 0.0000 0.0000
Pb2 0.0000 0.0000 0.5000
Pb3 0.5000 0.5000 0.2500
Pb4 0.5000 0.5000 0.7500
F1 0.2049 0.2049 0.1542
F2 0.2049 0.2049 0.8458
F3 0.2049 0.7951 0.3458
F4 0.2049 0.7951 0.6542
F5 0.2799 0.2799 0.5000
F6 0.2799 0.7201 0.0000
F7 0.7201 0.2799 0.0000
F8 0.7201 0.7201 0.5000
F9 0.7951 0.2049 0.3458
F10 0.7951 0.2049 0.6542
F11 0.7951 0.7951 0.1542
F12 0.7951 0.7951 0.8458

---

MgP2O6: computed powder diffractogram (CuKα), based on the PBE geometry in the Materials Project.

Principal peaks in the range 10° ≤ 2θ ≤ 90°, most intense first:
two_theta, intensity
29.4, 100.0
19.0, 54.5
27.3, 44.5
20.6, 34.6
27.7, 29.7
26.0, 25.0
34.3, 21.6
42.5, 17.4
24.9, 17.3
30.7, 17.0

a = 7.2902 Å, b = 7.2902 Å, c = 10.1015 Å
α = 113.30°, β = 113.30°, γ = 70.06°
Fractional positions:
Mg1 0.0000 0.5000 0.5000
Mg2 0.0499 0.9501 0.7500
Mg3 0.5000 0.0000 0.0000
Mg4 0.9501 0.0499 0.2500
P1 0.2551 0.7317 0.0243
P2 0.2683 0.7449 0.4757
P3 0.2929 0.3147 0.8056
P4 0.3147 0.2929 0.3056
P5 0.6853 0.7071 0.6944
P6 0.7071 0.6853 0.1944
P7 0.7317 0.2551 0.5243
P8 0.7449 0.2683 0.9757
O1 0.0929 0.8514 0.0974
O2 0.1260 0.2792 0.3277
O3 0.1486 0.9071 0.4026
O4 0.1865 0.3505 0.6563
O5 0.1888 0.7107 0.5807
O6 0.2147 0.5044 0.9369
O7 0.2792 0.1260 0.8277
O8 0.2893 0.8112 0.9193
O9 0.3123 0.5305 0.3472
O10 0.3505 0.1865 0.1563
O11 0.4695 0.6877 0.1528
O12 0.4956 0.7853 0.5631
O13 0.5044 0.2147 0.4369
O14 0.5305 0.3123 0.8472
O15 0.6495 0.8135 0.8437
O16 0.6877 0.4695 0.6528
O17 0.7107 0.1888 0.0807
O18 0.7208 0.8740 0.1723
O19 0.7853 0.4956 0.0631
O20 0.8112 0.2893 0.4193
O21 0.8135 0.6495 0.3437
O22 0.8514 0.0929 0.5974
O23 0.8740 0.7208 0.6723
O24 0.9071 0.1486 0.9026